Structure and computed powder XRD pattern of VWO5 (a structure optimized by DFT (GGA+U); Cu Kα, 1.54184 Å).
Intensities are scaled so that the largest is 100.

Most intense lines, 5° ≤ 2θ ≤ 70°, sorted by position:
Position (°2θ)  I/Imax
18.3  82.3
23.7  82.5
26.7  40.5
27.7  100.0
28.1  56.8
36.8  49.2
37.1  29.6
49.5  26.3
55.6  23.0
56.8  26.1

Structure:
Unit cell a=5.260 b=5.260 c=5.260 alpha=138.48 beta=105.73 gamma=88.86
Positions (direct):
V  0.000  0.000  0.000
W  0.500  0.500  0.000
O  0.195  0.500  0.695
O  0.238  0.238  0.000
O  0.500  0.000  0.500
O  0.762  0.762  0.000
O  0.805  0.500  0.305